La2WO6: simulated PXRD pattern (λ = 1.5418 Å (Cu Kα)), based on a GGA+U-relaxed structure.
Kinematic intensities with the Lorentz-polarization factor, no thermal factor.

a = 10.3069 Å, b = 10.3069 Å, c = 5.6806 Å
α = 104.05°, β = 104.05°, γ = 69.15°
Positions (direct):
1 La 0.0618 0.2900 0.8890
2 La 0.1100 0.8900 0.7500
3 La 0.2900 0.0618 0.3890
4 La 0.3700 0.6300 0.2500
5 La 0.6300 0.3700 0.7500
6 La 0.7100 0.9382 0.6110
7 La 0.8900 0.1100 0.2500
8 La 0.9382 0.7100 0.1110
9 W 0.1976 0.4982 0.5621
10 W 0.4982 0.1976 0.0621
11 W 0.5018 0.8024 0.9379
12 W 0.8024 0.5018 0.4379
13 O 0.0638 0.4727 0.2751
14 O 0.0799 0.1054 0.0767
15 O 0.1054 0.0799 0.5767
16 O 0.1616 0.6794 0.4198
17 O 0.1759 0.6167 0.8677
18 O 0.2151 0.3263 0.6405
19 O 0.3206 0.8384 0.0802
20 O 0.3263 0.2151 0.1405
21 O 0.3807 0.4572 0.5193
22 O 0.3833 0.8241 0.6323
23 O 0.4572 0.3807 0.0193
24 O 0.4727 0.0638 0.7751
25 O 0.5273 0.9362 0.2249
26 O 0.5428 0.6193 0.9807
27 O 0.6167 0.1759 0.3677
28 O 0.6193 0.5428 0.4807
29 O 0.6737 0.7849 0.8595
30 O 0.6794 0.1616 0.9198
31 O 0.7849 0.6737 0.3595
32 O 0.8241 0.3833 0.1323
33 O 0.8384 0.3206 0.5802
34 O 0.8946 0.9201 0.4233
35 O 0.9201 0.8946 0.9233
36 O 0.9362 0.5273 0.7249

Main lines, sorted by position (10° ≤ 2θ ≤ 90°):
2θ = 27.0°, d 3.301, intensity 100.0
2θ = 27.8°, d 3.208, intensity 80.7
2θ = 30.6°, d 2.924, intensity 21.5
2θ = 31.5°, d 2.838, intensity 20.8
2θ = 33.1°, d 2.703, intensity 18.5
2θ = 44.5°, d 2.037, intensity 24.3
2θ = 45.4°, d 1.999, intensity 16.4
2θ = 45.7°, d 1.985, intensity 22.5
2θ = 52.2°, d 1.752, intensity 10.3
2θ = 52.7°, d 1.738, intensity 9.9
2θ = 53.0°, d 1.728, intensity 14.9
2θ = 55.1°, d 1.666, intensity 11.3